Starting from a GGA+U-relaxed structure, the powder diffractogram of Li2CrP2O7 was simulated for Cu Ka.

Most intense lines, 2θ = 15–90°, sorted by position:
(0 1 0), d = 5.755 Å, rel. 16; (1 0 1), d = 4.114 Å, rel. 100; (-1 1 1), d = 3.901 Å, rel. 17; (1 1 0), d = 3.404 Å, rel. 16; (1 -2 0), d = 2.948 Å, rel. 20; (0 2 -2), d = 2.890 Å, rel. 28; (2 -1 0), d = 2.775 Å, rel. 17; (1 0 -3), d = 2.663 Å, rel. 19

Structure:
Lattice parameters (Å, degrees): 5.6411 6.3862 8.8531 108.51 95.50 105.59
Positions (direct):
Li (0.1563, 0.2633, 0.4577)
Li (0.2834, 0.7086, 0.2713)
Li (0.7166, 0.2914, 0.7287)
Li (0.8437, 0.7367, 0.5423)
Cr (0.1225, 0.1159, 0.8786)
Cr (0.8775, 0.8841, 0.1214)
P (0.2444, 0.6529, 0.9063)
P (0.3813, 0.8002, 0.6249)
P (0.6187, 0.1998, 0.3751)
P (0.7556, 0.3471, 0.0937)
O (0.0691, 0.8092, 0.9270)
O (0.0806, 0.3961, 0.8251)
O (0.1920, 0.9377, 0.6562)
O (0.2779, 0.5890, 0.4673)
O (0.3502, 0.0542, 0.3640)
O (0.4105, 0.7076, 0.7774)
O (0.4245, 0.7096, 0.0622)
O (0.5755, 0.2904, 0.9378)
O (0.5895, 0.2924, 0.2226)
O (0.6498, 0.9458, 0.6360)
O (0.7221, 0.4110, 0.5327)
O (0.8080, 0.0623, 0.3438)
O (0.9194, 0.6039, 0.1749)
O (0.9309, 0.1908, 0.0730)